This entry pairs a crystal structure of Rb2YSn2 with its calculated X-ray diffraction stick pattern. Radiation: a wavelength of 1.5418 Å. Structure: a structure optimized by DFT (GGA-PBE).
Kinematic intensities with the Lorentz-polarization factor, no thermal factor.

Most intense lines, 2θ from 15° to 90°, in order of rising 2θ:
26.22 deg, intensity 15
28.47 deg, intensity 100
35.10 deg, intensity 21
38.00 deg, intensity 7
42.81 deg, intensity 9
45.77 deg, intensity 20
49.99 deg, intensity 6
50.37 deg, intensity 15
60.20 deg, intensity 6
63.74 deg, intensity 8

Structural model:
```
data_Rb2YSn2
_chemical_formula_sum 'Rb4 Y2 Sn4'
_space_group_name_H-M_alt 'P 1'
_space_group_IT_number 1
_space_group_name_Hall 'P 1'
_cell_length_a 8.085
_cell_length_b 8.085
_cell_length_c 6.280
_cell_angle_alpha 90.00
_cell_angle_beta 90.00
_cell_angle_gamma 90.00
loop_
_atom_site_label
_atom_site_fract_x
_atom_site_fract_y
_atom_site_fract_z
Rb1 0.170 0.330 0.000
Rb2 0.330 0.830 0.000
Rb3 0.670 0.170 0.000
Rb4 0.830 0.670 0.000
Y1 0.000 0.000 0.500
Y2 0.500 0.500 0.500
Sn1 0.128 0.628 0.500
Sn2 0.372 0.128 0.500
Sn3 0.628 0.872 0.500
Sn4 0.872 0.372 0.500
```


This entry pairs a crystal structure of ThMgAu4 with its calculated X-ray diffraction stick pattern. Radiation: a wavelength of 1.5418 Å. Structure: a structure optimized by DFT (GGA-PBE).
Kinematic intensities with the Lorentz-polarization factor, no thermal factor.

Most intense lines, 2θ from 15° to 90°, in order of rising 2θ:
23.68 deg, intensity 14
35.69 deg, intensity 100
36.44 deg, intensity 20
37.08 deg, intensity 8
38.24 deg, intensity 9
40.08 deg, intensity 21
47.22 deg, intensity 10
55.28 deg, intensity 12
63.62 deg, intensity 8
69.98 deg, intensity 15

Structural model:
```
data_ThMgAu4
_chemical_formula_sum 'Th2 Mg2 Au8'
_space_group_name_H-M_alt 'P 1'
_space_group_IT_number 1
_space_group_name_Hall 'P 1'
_cell_length_a 4.499
_cell_length_b 7.699
_cell_length_c 7.734
_cell_angle_alpha 90.00
_cell_angle_beta 107.00
_cell_angle_gamma 90.00
loop_
_atom_site_label
_atom_site_fract_x
_atom_site_fract_y
_atom_site_fract_z
Th1 0.175 0.250 0.349
Th2 0.825 0.750 0.651
Mg1 0.137 0.750 0.275
Mg2 0.863 0.250 0.725
Au1 0.000 0.000 0.000
Au2 0.000 0.500 0.000
Au3 0.349 0.033 0.699
Au4 0.349 0.467 0.699
Au5 0.482 0.750 0.963
Au6 0.518 0.250 0.037
Au7 0.651 0.533 0.301
Au8 0.651 0.967 0.301
```


This entry pairs a crystal structure of La6Hg2OsO with its calculated X-ray diffraction stick pattern. Radiation: a wavelength of 1.5418 Å. Structure: a structure optimized by DFT (GGA-PBE).
Kinematic intensities with the Lorentz-polarization factor, no thermal factor.

Most intense lines, 2θ from 15° to 90°, in order of rising 2θ:
23.54 deg, intensity 27
28.94 deg, intensity 100
33.54 deg, intensity 100
41.38 deg, intensity 12
48.16 deg, intensity 72
57.17 deg, intensity 43
59.96 deg, intensity 24
77.92 deg, intensity 17
80.35 deg, intensity 31
89.93 deg, intensity 24

Structural model:
```
data_La6Hg2OsO
_chemical_formula_sum 'La12 Hg4 Os2 O2'
_space_group_name_H-M_alt 'P 1'
_space_group_IT_number 1
_space_group_name_Hall 'P 1'
_cell_length_a 7.557
_cell_length_b 10.690
_cell_length_c 7.557
_cell_angle_alpha 90.00
_cell_angle_beta 90.00
_cell_angle_gamma 90.00
loop_
_atom_site_label
_atom_site_fract_x
_atom_site_fract_y
_atom_site_fract_z
La1 0.010 0.250 0.010
La2 0.010 0.250 0.489
La3 0.250 0.010 0.250
La4 0.250 0.490 0.250
La5 0.490 0.250 0.010
La6 0.490 0.250 0.489
La7 0.510 0.750 0.511
La8 0.510 0.750 0.990
La9 0.750 0.510 0.750
La10 0.750 0.990 0.750
La11 0.990 0.750 0.511
La12 0.990 0.750 0.990
Hg1 0.250 0.000 0.751
Hg2 0.250 0.500 0.751
Hg3 0.750 0.000 0.249
Hg4 0.750 0.500 0.249
Os1 0.250 0.750 0.250
Os2 0.750 0.250 0.750
O1 0.250 0.250 0.250
O2 0.750 0.750 0.750
```


This entry pairs a crystal structure of K2Rb4SnBi2 with its calculated X-ray diffraction stick pattern. Radiation: a wavelength of 1.5418 Å. Structure: a structure optimized by DFT (GGA-PBE).
Kinematic intensities with the Lorentz-polarization factor, no thermal factor.

Most intense lines, 2θ from 15° to 90°, in order of rising 2θ:
16.43 deg, intensity 19
17.50 deg, intensity 32
23.37 deg, intensity 63
28.68 deg, intensity 63
29.31 deg, intensity 100
30.44 deg, intensity 19
31.17 deg, intensity 34
33.23 deg, intensity 41
42.85 deg, intensity 20
51.17 deg, intensity 23

Structural model:
```
data_K2Rb4SnBi2
_chemical_formula_sum 'K2 Rb4 Sn1 Bi2'
_space_group_name_H-M_alt 'P 1'
_space_group_IT_number 1
_space_group_name_Hall 'P 1'
_cell_length_a 9.773
_cell_length_b 9.773
_cell_length_c 5.738
_cell_angle_alpha 107.02
_cell_angle_beta 107.02
_cell_angle_gamma 67.01
loop_
_atom_site_label
_atom_site_fract_x
_atom_site_fract_y
_atom_site_fract_z
K1 0.140 0.140 0.140
K2 0.860 0.860 0.860
Rb1 0.168 0.565 0.366
Rb2 0.435 0.832 0.634
Rb3 0.565 0.168 0.366
Rb4 0.832 0.435 0.634
Sn1 0.500 0.500 0.000
Bi1 0.286 0.286 0.786
Bi2 0.714 0.714 0.214
```


This entry pairs a crystal structure of Ag2AsPbO4 with its calculated X-ray diffraction stick pattern. Radiation: a wavelength of 1.5418 Å. Structure: a structure optimized by DFT (GGA-PBE).
Kinematic intensities with the Lorentz-polarization factor, no thermal factor.

Most intense lines, 2θ from 15° to 90°, in order of rising 2θ:
18.90 deg, intensity 12
29.94 deg, intensity 100
33.33 deg, intensity 30
47.85 deg, intensity 15
50.91 deg, intensity 25
57.45 deg, intensity 15
57.51 deg, intensity 15
62.22 deg, intensity 11
62.84 deg, intensity 11
82.67 deg, intensity 11

Structural model:
```
data_Ag2AsPbO4
_chemical_formula_sum 'Ag2 As1 Pb1 O4'
_space_group_name_H-M_alt 'P 1'
_space_group_IT_number 1
_space_group_name_Hall 'P 1'
_cell_length_a 6.138
_cell_length_b 6.133
_cell_length_c 5.377
_cell_angle_alpha 64.06
_cell_angle_beta 63.97
_cell_angle_gamma 51.98
loop_
_atom_site_label
_atom_site_fract_x
_atom_site_fract_y
_atom_site_fract_z
Ag1 0.000 0.000 0.500
Ag2 0.500 0.500 0.000
As1 0.250 0.250 0.750
Pb1 0.751 0.751 0.249
O1 0.163 0.542 0.458
O2 0.337 0.957 0.663
O3 0.542 0.163 0.837
O4 0.957 0.337 0.043
```


This entry pairs a crystal structure of LaEu2Ga with its calculated X-ray diffraction stick pattern. Radiation: a wavelength of 1.5418 Å. Structure: a structure optimized by DFT (GGA-PBE).
Kinematic intensities with the Lorentz-polarization factor, no thermal factor.

Most intense lines, 2θ from 15° to 90°, in order of rising 2θ:
25.59 deg, intensity 23
28.71 deg, intensity 16
30.58 deg, intensity 100
33.79 deg, intensity 52
37.56 deg, intensity 12
44.91 deg, intensity 19
48.53 deg, intensity 19
54.96 deg, intensity 13
58.45 deg, intensity 31
76.32 deg, intensity 10

Structural model:
```
data_LaEu2Ga
_chemical_formula_sum 'La1 Eu2 Ga1'
_space_group_name_H-M_alt 'P 1'
_space_group_IT_number 1
_space_group_name_Hall 'P 1'
_cell_length_a 3.752
_cell_length_b 3.752
_cell_length_c 9.330
_cell_angle_alpha 90.00
_cell_angle_beta 90.00
_cell_angle_gamma 90.00
loop_
_atom_site_label
_atom_site_fract_x
_atom_site_fract_y
_atom_site_fract_z
La1 0.000 0.000 0.000
Eu1 0.500 0.500 0.306
Eu2 0.500 0.500 0.694
Ga1 0.000 0.000 0.500
```


This entry pairs a crystal structure of Nd4YEr8 with its calculated X-ray diffraction stick pattern. Radiation: a wavelength of 1.5418 Å. Structure: a structure optimized by DFT (GGA-PBE).
Kinematic intensities with the Lorentz-polarization factor, no thermal factor.

Most intense lines, 2θ from 15° to 90°, in order of rising 2θ:
19.75 deg, intensity 14
22.85 deg, intensity 13
32.53 deg, intensity 100
38.35 deg, intensity 8
40.12 deg, intensity 4
46.67 deg, intensity 18
52.57 deg, intensity 5
58.04 deg, intensity 37
68.14 deg, intensity 11
77.56 deg, intensity 15

Structural model:
```
data_Nd4YEr8
_chemical_formula_sum 'Nd4 Y1 Er8'
_space_group_name_H-M_alt 'P 1'
_space_group_IT_number 1
_space_group_name_Hall 'P 1'
_cell_length_a 7.785
_cell_length_b 7.785
_cell_length_c 7.785
_cell_angle_alpha 90.05
_cell_angle_beta 90.05
_cell_angle_gamma 90.05
loop_
_atom_site_label
_atom_site_fract_x
_atom_site_fract_y
_atom_site_fract_z
Nd1 0.000 0.000 0.000
Nd2 0.000 0.500 0.500
Nd3 0.500 0.000 0.500
Nd4 0.500 0.500 0.000
Y1 0.500 0.500 0.500
Er1 0.240 0.240 0.240
Er2 0.240 0.240 0.760
Er3 0.240 0.760 0.240
Er4 0.240 0.760 0.760
Er5 0.760 0.240 0.240
Er6 0.760 0.240 0.760
Er7 0.760 0.760 0.240
Er8 0.760 0.760 0.760
```


This entry pairs a crystal structure of Ac3ZnAg2Pd6 with its calculated X-ray diffraction stick pattern. Radiation: a wavelength of 1.5418 Å. Structure: a structure optimized by DFT (GGA-PBE).
Kinematic intensities with the Lorentz-polarization factor, no thermal factor.

Most intense lines, 2θ from 15° to 90°, in order of rising 2θ:
26.56 deg, intensity 43
30.01 deg, intensity 45
30.43 deg, intensity 66
36.61 deg, intensity 75
36.73 deg, intensity 100
40.82 deg, intensity 72
43.27 deg, intensity 26
44.30 deg, intensity 25
60.67 deg, intensity 25
63.32 deg, intensity 37

Structural model:
```
data_Ac3ZnAg2Pd6
_chemical_formula_sum 'Ac3 Zn1 Ag2 Pd6'
_space_group_name_H-M_alt 'P 1'
_space_group_IT_number 1
_space_group_name_Hall 'P 1'
_cell_length_a 5.875
_cell_length_b 5.875
_cell_length_c 8.932
_cell_angle_alpha 90.00
_cell_angle_beta 90.00
_cell_angle_gamma 120.00
loop_
_atom_site_label
_atom_site_fract_x
_atom_site_fract_y
_atom_site_fract_z
Ac1 0.000 0.000 0.000
Ac2 0.333 0.667 0.623
Ac3 0.667 0.333 0.377
Zn1 0.000 0.000 0.500
Ag1 0.333 0.667 0.020
Ag2 0.667 0.333 0.980
Pd1 0.173 0.345 0.284
Pd2 0.173 0.827 0.284
Pd3 0.345 0.173 0.716
Pd4 0.655 0.827 0.284
Pd5 0.827 0.173 0.716
Pd6 0.827 0.655 0.716
```


This entry pairs a crystal structure of Cs2ErBr5 with its calculated X-ray diffraction stick pattern. Radiation: a wavelength of 1.5418 Å. Structure: a structure optimized by DFT (GGA-PBE).
Kinematic intensities with the Lorentz-polarization factor, no thermal factor.

Most intense lines, 2θ from 15° to 90°, in order of rising 2θ:
19.90 deg, intensity 56
20.55 deg, intensity 48
22.50 deg, intensity 44
28.10 deg, intensity 47
28.89 deg, intensity 68
29.09 deg, intensity 78
29.33 deg, intensity 52
30.66 deg, intensity 100
33.12 deg, intensity 71
45.49 deg, intensity 65

Structural model:
```
data_Cs2ErBr5
_chemical_formula_sum 'Cs8 Er4 Br20'
_space_group_name_H-M_alt 'P 1'
_space_group_IT_number 1
_space_group_name_Hall 'P 1'
_cell_length_a 10.219
_cell_length_b 7.902
_cell_length_c 16.212
_cell_angle_alpha 90.00
_cell_angle_beta 90.00
_cell_angle_gamma 90.00
loop_
_atom_site_label
_atom_site_fract_x
_atom_site_fract_y
_atom_site_fract_z
Cs1 0.033 0.250 0.207
Cs2 0.171 0.750 0.415
Cs3 0.329 0.250 0.915
Cs4 0.467 0.750 0.707
Cs5 0.533 0.250 0.293
Cs6 0.671 0.750 0.085
Cs7 0.829 0.250 0.585
Cs8 0.967 0.750 0.793
Er1 0.182 0.750 0.063
Er2 0.318 0.250 0.563
Er3 0.682 0.750 0.437
Er4 0.818 0.250 0.937
Br1 0.000 0.000 0.000
Br2 0.000 0.500 0.000
Br3 0.027 0.750 0.201
Br4 0.161 0.504 0.616
Br5 0.161 0.996 0.616
Br6 0.214 0.250 0.404
Br7 0.286 0.750 0.904
Br8 0.339 0.004 0.116
Br9 0.339 0.496 0.116
Br10 0.473 0.250 0.701
Br11 0.500 0.000 0.500
Br12 0.500 0.500 0.500
Br13 0.527 0.750 0.299
Br14 0.661 0.504 0.884
Br15 0.661 0.996 0.884
Br16 0.714 0.250 0.096
Br17 0.786 0.750 0.596
Br18 0.839 0.004 0.384
Br19 0.839 0.496 0.384
Br20 0.973 0.250 0.799
```


What did the ninth record say?
This entry pairs a crystal structure of Cs2ErBr5 with its calculated X-ray diffraction stick pattern. Radiation: a wavelength of 1.5418 Å. Structure: a structure optimized by DFT (GGA-PBE).
Kinematic intensities with the Lorentz-polarization factor, no thermal factor.

Most intense lines, 2θ from 15° to 90°, in order of rising 2θ:
19.90 deg, intensity 56
20.55 deg, intensity 48
22.50 deg, intensity 44
28.10 deg, intensity 47
28.89 deg, intensity 68
29.09 deg, intensity 78
29.33 deg, intensity 52
30.66 deg, intensity 100
33.12 deg, intensity 71
45.49 deg, intensity 65

Structural model:
```
data_Cs2ErBr5
_chemical_formula_sum 'Cs8 Er4 Br20'
_space_group_name_H-M_alt 'P 1'
_space_group_IT_number 1
_space_group_name_Hall 'P 1'
_cell_length_a 10.219
_cell_length_b 7.902
_cell_length_c 16.212
_cell_angle_alpha 90.00
_cell_angle_beta 90.00
_cell_angle_gamma 90.00
loop_
_atom_site_label
_atom_site_fract_x
_atom_site_fract_y
_atom_site_fract_z
Cs1 0.033 0.250 0.207
Cs2 0.171 0.750 0.415
Cs3 0.329 0.250 0.915
Cs4 0.467 0.750 0.707
Cs5 0.533 0.250 0.293
Cs6 0.671 0.750 0.085
Cs7 0.829 0.250 0.585
Cs8 0.967 0.750 0.793
Er1 0.182 0.750 0.063
Er2 0.318 0.250 0.563
Er3 0.682 0.750 0.437
Er4 0.818 0.250 0.937
Br1 0.000 0.000 0.000
Br2 0.000 0.500 0.000
Br3 0.027 0.750 0.201
Br4 0.161 0.504 0.616
Br5 0.161 0.996 0.616
Br6 0.214 0.250 0.404
Br7 0.286 0.750 0.904
Br8 0.339 0.004 0.116
Br9 0.339 0.496 0.116
Br10 0.473 0.250 0.701
Br11 0.500 0.000 0.500
Br12 0.500 0.500 0.500
Br13 0.527 0.750 0.299
Br14 0.661 0.504 0.884
Br15 0.661 0.996 0.884
Br16 0.714 0.250 0.096
Br17 0.786 0.750 0.596
Br18 0.839 0.004 0.384
Br19 0.839 0.496 0.384
Br20 0.973 0.250 0.799
```